For LiCoSiO4, the PBE+U geometry in the Materials Project gives the computed powder X-ray diffraction pattern in this record (Cu Kα X-rays).
Peak positions follow from Bragg's law for the DFT cell and can differ from measured ones.

Structure:
Cell lengths 5.072, 5.434, 8.027 Å; angles 90.00, 127.74, 90.00 degrees
Sites, in units of the cell vectors:
Li 0.000 0.156 0.000
Li 0.000 0.844 0.500
Co 0.746 0.319 0.244
Co 0.746 0.681 0.744
Si 0.492 0.180 0.498
Si 0.492 0.820 0.998
O 0.140 0.171 0.466
O 0.140 0.829 0.966
O 0.412 0.280 0.278
O 0.412 0.720 0.778
O 0.646 0.099 0.036
O 0.646 0.901 0.536
O 0.763 0.348 0.709
O 0.763 0.652 0.209

Most intense lines, 2θ from 5° to 70°, low angle first:
(hkl)	d (Å)	I/Imax
0 1 1	4.128	100
1 0 0	4.011	55
1 0 -2	3.914	55
1 1 -2	3.175	15
0 1 2	2.741	33
0 2 0	2.717	23
2 0 -2	2.535	33
1 1 1	2.433	18
1 1 -3	2.392	26
0 3 2	1.573	19